For Ho3TmSe6, a structure optimized by DFT (GGA-PBE) gives the simulated powder diffraction line list in this record (λ = 1.5418 Å (Cu Kα)).
Intensities are scaled so that the largest is 100.

Atomic structure:
Cell lengths 7.1502, 7.1502, 19.3609 Å; angles 90.00, 90.00, 120.00 degrees
Space group R3 (No. 146, hexagonal axes)
Inequivalent atoms, fractional coordinates:
Ho  0.0000  0.0000  0.0000 x3
Ho  0.0000  0.0000  0.1951 x3
Ho  0.0000  0.0000  0.4994 x3
Tm  0.0000  0.0000  0.6942 x3
Se  0.0283  0.3579  0.7642 x9
Se  0.0291  0.6675  0.2645 x9

Most intense lines, 10 to 90 degrees two-theta, in order of rising 2θ:
| 2θ (°) | I_rel |
| --- | --- |
| 17.00 | 42 |
| 23.33 | 56 |
| 24.91 | 41 |
| 28.54 | 54 |
| 34.38 | 35 |
| 37.55 | 100 |
| 42.92 | 32 |
| 43.86 | 61 |
| 59.08 | 26 |
| 76.42 | 22 |